The following is a calculated X-ray diffraction stick pattern of Ba3Li3Tl8. It was derived from the PBE geometry in Alexandria, using Cu Kα (λ = 1.5418 Å).
No peak broadening, texture or thermal motion is included.

Largest 6 diffraction maxima, by angle, 2θ from 10° to 80°:
| Position (°2θ) | d [Å] | Rel. int. |
| --- | --- | --- |
| 27.70 | 3.221 | 360 |
| 29.40 | 3.038 | 1000 |
| 29.73 | 3.005 | 957 |
| 29.86 | 2.992 | 374 |
| 33.28 | 2.692 | 747 |
| 33.91 | 2.643 | 364 |

Crystal structure
a = 9.702 Å, b = 9.702 Å, c = 9.877 Å
α = 120.24°, β = 120.24°, γ = 32.22°
Fractional positions:
Ba: 0.000 0.000 0.000
Ba: 0.286 0.286 0.295
Ba: 0.714 0.714 0.705
Li: 0.000 0.000 0.500
Li: 0.341 0.341 0.005
Li: 0.659 0.659 0.995
Tl: 0.143 0.143 0.444
Tl: 0.144 0.144 0.847
Tl: 0.357 0.357 0.741
Tl: 0.491 0.491 0.324
Tl: 0.509 0.509 0.676
Tl: 0.643 0.643 0.259
Tl: 0.856 0.856 0.153
Tl: 0.857 0.857 0.556